(1)
Theoretical powder diffractogram
Compound: CuTeSe4
Radiation: copper Kα
Structure: DFT lattice parameters and positions (GGA-PBE)
Neutral-atom scattering factors, no anomalous dispersion.

Cell and atoms:
```
CuTeSe4
1.0
5.1672 0.0000 0.0000
0.0000 7.8693 0.0000
-2.6050 0.0000 7.8246
Cu Te Se
2 2 8
direct
0.0000 0.2486 0.2500
0.0000 0.7514 0.7500
0.5000 0.2894 0.7500
0.5000 0.7106 0.2500
0.1990 0.4257 0.0814
0.1990 0.5743 0.5814
0.2160 0.0549 0.4852
0.2160 0.9451 0.9852
0.7840 0.0549 0.0148
0.7840 0.9451 0.5148
0.8010 0.4257 0.4186
0.8010 0.5743 0.9186
```

Principal peaks in the range 2θ = 10–90°, by angle:
2θ/deg	I_rel
21.3	90
24.2	40
26.8	95
29.1	28
32.3	100
33.4	61
36.6	40
43.5	49
48.6	34
49.9	30

(2)
Theoretical powder diffractogram
Compound: Cu4TeSe3
Radiation: copper Kα
Structure: DFT lattice parameters and positions (GGA-PBE)
Neutral-atom scattering factors, no anomalous dispersion.

Cell and atoms:
```
Cu4TeSe3
1.0
7.8040 0.0000 0.0000
0.0000 6.6354 0.0000
0.0000 0.0000 6.7481
Cu Te Se
8 2 6
direct
0.0000 0.1642 0.0000
0.0000 0.8107 0.4753
0.2373 0.6558 0.9759
0.2627 0.3442 0.4759
0.5000 0.1893 0.9753
0.5000 0.8358 0.5000
0.7373 0.3442 0.4759
0.7627 0.6558 0.9759
0.0000 0.1648 0.6237
0.5000 0.8352 0.1237
0.0000 0.8270 0.1247
0.2498 0.3298 0.1245
0.2502 0.6702 0.6245
0.5000 0.1730 0.6247
0.7502 0.3298 0.1245
0.7498 0.6702 0.6245
```

Principal peaks in the range 2θ = 10–90°, by angle:
2θ/deg	I_rel
26.5	100
26.9	28
29.7	52
30.0	24
46.5	23
47.2	44
48.7	58
48.9	28
54.9	22
69.8	18

(3)
Theoretical powder diffractogram
Compound: TlCu4TeSe2
Radiation: copper Kα
Structure: DFT lattice parameters and positions (GGA-PBE)
Neutral-atom scattering factors, no anomalous dispersion.

Cell and atoms:
```
TlCu4TeSe2
1.0
3.9519 0.0000 0.0000
0.0000 3.9519 0.0000
0.0000 0.0000 10.6576
Tl Cu Te Se
1 4 1 2
direct
0.0000 0.0000 0.0000
0.0000 0.5000 0.3245
0.0000 0.5000 0.6755
0.5000 0.0000 0.3245
0.5000 0.0000 0.6755
0.0000 0.0000 0.5000
0.5000 0.5000 0.1901
0.5000 0.5000 0.8099
```

Principal peaks in the range 2θ = 10–90°, by angle:
2θ/deg	I_rel
28.1	100
33.1	23
33.9	15
36.3	36
40.8	19
41.1	21
45.9	39
47.1	22
54.7	31
71.4	16

(4)
Theoretical powder diffractogram
Compound: VCu3Te2Se2
Radiation: copper Kα
Structure: DFT lattice parameters and positions (GGA-PBE)
Neutral-atom scattering factors, no anomalous dispersion.

Cell and atoms:
```
VCu3Te2Se2
1.0
4.0234 -4.1658 0.0000
4.0234 4.1658 0.0000
0.0000 0.0000 5.7825
V Cu Te Se
1 3 2 2
direct
0.0000 0.0000 0.0000
0.0000 0.0000 0.5102
0.0000 0.5000 0.9950
0.5000 0.0000 0.9950
0.2624 0.2624 0.2573
0.7376 0.7376 0.2573
0.2321 0.7679 0.7637
0.7679 0.2321 0.7637
```

Principal peaks in the range 2θ = 10–90°, by angle:
2θ/deg	I_rel
15.3	44
26.4	94
27.0	82
34.7	18
43.4	26
44.3	100
45.1	24
51.9	24
53.0	25
64.4	23

(5)
Theoretical powder diffractogram
Compound: VCu3Te3Se
Radiation: copper Kα
Structure: DFT lattice parameters and positions (GGA-PBE)
Neutral-atom scattering factors, no anomalous dispersion.

Cell and atoms:
```
VCu3Te3Se
1.0
4.1084 2.3720 3.4531
-4.1084 2.3720 3.4531
0.0000 -4.7440 3.4531
V Cu Te Se
1 3 3 1
direct
0.0000 0.0000 0.0000
0.0020 0.0020 0.4936
0.0020 0.4936 0.0020
0.4936 0.0020 0.0020
0.2591 0.7457 0.7457
0.7457 0.2591 0.7457
0.7457 0.7457 0.2591
0.2285 0.2285 0.2285
```

Principal peaks in the range 2θ = 10–90°, by angle:
2θ/deg	I_rel
15.1	27
25.8	37
26.5	100
43.2	57
44.1	55
51.0	15
51.8	31
52.2	15
63.4	17
80.5	17

(6)
Theoretical powder diffractogram
Compound: ThCuSe4
Radiation: copper Kα
Structure: DFT lattice parameters and positions (GGA-PBE)
Neutral-atom scattering factors, no anomalous dispersion.

Cell and atoms:
```
ThCuSe4
1.0
5.5011 0.0000 0.0000
0.0000 9.3223 0.0000
-2.5035 0.0000 6.5662
Th Cu Se
2 2 8
direct
0.1277 0.2500 0.2229
0.8723 0.7500 0.7771
0.1579 0.7500 0.3183
0.8421 0.2500 0.6817
0.2189 0.5535 0.1055
0.2189 0.9465 0.1055
0.3019 0.2500 0.6646
0.3259 0.7500 0.6764
0.6741 0.2500 0.3236
0.6981 0.7500 0.3354
0.7811 0.0535 0.8945
0.7811 0.4465 0.8945
```

Principal peaks in the range 2θ = 10–90°, by angle:
2θ/deg	I_rel
16.5	39
17.7	65
19.0	100
23.4	33
27.2	37
32.6	33
33.4	65
38.0	83
38.6	40
48.1	33

What is the formula in the sixth record?
ThCuSe4